# Li2TmSbO4
Simulated powder X-ray diffraction pattern, Cu Kα, 1.54184 Å. Input: DFT lattice parameters and positions (GGA-PBE).

Cell and atoms:
```
8
Lattice="3.2703 -3.2165 0.0000 3.2703 3.2165 0.0000 -3.1904 0.0000 4.7820" Properties=species:S:1:pos:R:3 pbc="T T T"
Li 0.0000 0.0000 0.0000
Li 1.6751 -1.6814 2.3910
Tm 1.6751 1.6437 2.3910
Sb 3.2703 0.0289 0.0000
O 1.8329 1.4506 0.1632
O -0.0177 0.1050 2.4227
O 1.5173 1.4506 4.6188
O 3.3678 0.1050 2.3594
```

Largest 8 diffraction maxima, sorted by position, 2θ = 15–90°:
- 21.4 deg, I 100
- 21.6 deg, I 91
- 32.9 deg, I 22
- 33.6 deg, I 41
- 34.1 deg, I 26
- 34.4 deg, I 26
- 37.6 deg, I 36
- 39.3 deg, I 62